Starting from a crystal structure in Alexandria, relaxed with PBE, the powder XRD pattern of RbInHg14 was simulated for Cu Kα (λ = 1.5418 Å).
Peak positions follow from Bragg's law for the DFT cell and can differ from measured ones.

The 6 most intense peaks (15° ≤ 2θ ≤ 90°), low angle first:
(3 2 1), 2θ = 28.5°, I 35.7
(0 4 0), 2θ = 30.0°, I 40.7
(4 0 0), 2θ = 31.3°, I 59.1
(1 0 5), 2θ = 31.6°, I 100.0
(3 0 5), 2θ = 38.9°, I 49.4
(3 3 4), 2θ = 41.1°, I 29.4

Cell lengths 11.4202, 11.9082, 14.5912 Å; angles 90.00, 90.00, 90.00 degrees
Space group Imma (No. 74)
Symmetry-distinct sites (fractional):
Rb 0.0000 0.2500 0.1058 x4
In 0.0000 0.0000 0.5000 x4
Hg 0.1239 0.2500 0.7493 x8
Hg 0.1344 0.0004 0.3085 x16
Hg 0.1418 0.0802 0.9168 x16
Hg 0.1427 0.2500 0.5339 x8
Hg 0.1535 0.2500 0.3281 x8